# TaSiPbO6
Calculated PXRD pattern, λ = 1.5418 Å (Cu Kα). Input: a PBE-relaxed structure.
Lines closer than 0.1° are merged.

Structure:
Lattice parameters (Å, degrees): 5.1228 5.1228 4.9793 90.00 90.00 120.00
Fractional positions:
Ta: 0.0000 0.0000 0.0000
Si: 0.3333 0.6667 0.0000
Pb: 0.6667 0.3333 0.5000
O: 0.0585 0.3596 0.2052
O: 0.0585 0.6990 0.7948
O: 0.3010 0.3596 0.7948
O: 0.3010 0.9415 0.2052
O: 0.6404 0.6990 0.2052
O: 0.6404 0.9415 0.7948

Most intense lines, 5° ≤ 2θ ≤ 70°, low angle first:
20.01°, d 4.437, I 18
26.92°, d 3.312, I 100
35.03°, d 2.561, I 30
44.72°, d 2.026, I 25
51.17°, d 1.785, I 31
58.04°, d 1.589, I 24

***

# NpGa12Ni6
Calculated PXRD pattern, λ = 1.5418 Å (Cu Kα). Input: a PBE-relaxed structure.
Lines closer than 0.1° are merged.

Structure:
Lattice parameters (Å, degrees): 6.9325 6.9325 6.9325 104.73 104.73 104.73
Fractional positions:
Np: 0.0000 0.0000 0.0000
Ga: 0.1153 0.5000 0.8847
Ga: 0.1153 0.8847 0.5000
Ga: 0.1484 0.4039 0.4039
Ga: 0.4039 0.1484 0.4039
Ga: 0.4039 0.4039 0.1484
Ga: 0.5000 0.1153 0.8847
Ga: 0.5000 0.8847 0.1153
Ga: 0.5961 0.5961 0.8516
Ga: 0.5961 0.8516 0.5961
Ga: 0.8516 0.5961 0.5961
Ga: 0.8847 0.1153 0.5000
Ga: 0.8847 0.5000 0.1153
Ni: 0.2831 0.2831 0.7055
Ni: 0.2831 0.7055 0.2831
Ni: 0.2945 0.7169 0.7169
Ni: 0.7055 0.2831 0.2831
Ni: 0.7169 0.2945 0.7169
Ni: 0.7169 0.7169 0.2945

Most intense lines, 5° ≤ 2θ ≤ 70°, low angle first:
26.97°, d 3.305, I 43
35.68°, d 2.517, I 100
35.95°, d 2.498, I 75
46.91°, d 1.937, I 35
47.24°, d 1.924, I 40
52.82°, d 1.733, I 44

***

# NdCd6Au
Calculated PXRD pattern, λ = 1.5418 Å (Cu Kα). Input: a PBE-relaxed structure.
Lines closer than 0.1° are merged.

Structure:
Lattice parameters (Å, degrees): 4.8444 5.8615 13.4594 90.00 90.00 90.00
Fractional positions:
Nd: 0.0000 0.0000 0.0000
Nd: 0.0000 0.5000 0.5000
Cd: 0.0000 0.2404 0.7277
Cd: 0.0000 0.2596 0.2277
Cd: 0.0000 0.7404 0.2277
Cd: 0.0000 0.7596 0.7277
Cd: 0.5000 0.0000 0.1585
Cd: 0.5000 0.0000 0.5772
Cd: 0.5000 0.2432 0.8709
Cd: 0.5000 0.2568 0.3709
Cd: 0.5000 0.5000 0.0772
Cd: 0.5000 0.5000 0.6585
Cd: 0.5000 0.7432 0.3709
Cd: 0.5000 0.7568 0.8709
Au: 0.0000 0.0000 0.4208
Au: 0.0000 0.5000 0.9208

Most intense lines, 5° ≤ 2θ ≤ 70°, low angle first:
31.16°, d 2.870, I 47
32.40°, d 2.764, I 61
33.35°, d 2.687, I 34
37.12°, d 2.422, I 46
38.31°, d 2.350, I 100
50.74°, d 1.799, I 20